(1)
Simulated powder diffractogram of Ba5V3HO13 for a wavelength of 1.5418 Å, from a cell relaxed with GGA+U.
Peak positions follow from Bragg's law for the DFT cell and can differ from measured ones.

Peak list (8 most intense, 2θ = 10–90°, in order of rising 2θ)
2θ/deg	I/Imax	index
24.33	15	1 0 2
25.48	17	1 2 0
27.90	100	1 1 2
28.96	31	3 0 0
40.68	20	2 2 2
42.76	19	1 2 3
44.17	13	2 3 1
45.35	15	4 0 2

Cell: 10.6800 10.6800 7.9674 Å, 90.00 90.00 120.00°
Space group P6_3 (No. 173)
One atom of each set of equivalent atoms:
Ba (0.0110, 0.7527, 0.0000) (multiplicity 6)
Ba (0.3333, 0.6667, 0.2497) (multiplicity 2)
Ba (0.3333, 0.6667, 0.7482) (multiplicity 2)
V (0.0334, 0.6326, 0.4992) (multiplicity 6)
H (0.0000, 0.0000, 0.1771) (multiplicity 2)
O (0.0000, 0.0000, 0.0548) (multiplicity 2)
O (0.0922, 0.7449, 0.6742) (multiplicity 6)
O (0.0916, 0.7459, 0.3244) (multiplicity 6)
O (0.1263, 0.5359, 0.4989) (multiplicity 6)
O (0.1548, 0.4816, 0.9991) (multiplicity 6)

(2)
Simulated powder diffractogram of BaNiIO6 for a wavelength of 1.5418 Å, from a cell relaxed with GGA+U.
Peak positions follow from Bragg's law for the DFT cell and can differ from measured ones.

Peak list (8 most intense, 2θ = 10–90°, in order of rising 2θ)
2θ/deg	I/Imax	index
15.16	10	0 0 1
25.05	100	1 0 1
30.59	11	0 0 2
34.71	28	1 1 0
43.28	19	2 0 1
46.93	39	2 -1 2
51.12	12	1 0 3
56.63	20	3 -1 1

Cell: 5.1695 5.1695 5.8456 Å, 90.00 90.00 120.00°
Space group P312 (No. 149)
One atom of each set of equivalent atoms:
Ba (0.0000, 0.0000, 0.0000) (multiplicity 1)
Ni (0.3333, 0.6667, 0.5000) (multiplicity 1)
I (0.6667, 0.3333, 0.5000) (multiplicity 1)
O (0.3915, 0.0080, 0.6871) (multiplicity 6)